# TmCdAg6
Computed PXRD pattern, Cu Kα (λ = 1.5418 Å). Input: a structure optimized by DFT (GGA-PBE).
Lines closer than 0.1° are merged.

Peak list (6 most intense, 15° ≤ 2θ ≤ 90°, in order of rising 2θ)
two_theta  intensity  h k l
33.51  44  0 2 1
35.77  65  3 1 -1
37.95  100  2 0 2
38.29  87  2 2 0
38.44  61  2 0 -3
40.25  100  0 2 2

Atomic structure:
abc: 8.4168 5.7725 7.3841
angles: 90.00 105.73 90.00
Space group C2/m (No. 12)
Symmetry-distinct sites (fractional):
Tm  0.0000  0.0000  0.0000 x2
Cd  0.0000  0.5000  0.5000 x2
Ag  0.1320  0.5000  0.9274 x4
Ag  0.2177  0.2643  0.3020 x8